# 1
Theoretical X-ray powder pattern
Compound: Rb4CoS4
Radiation: λ = 1.5418 Å (Cu Kα)
Structure: DFT lattice parameters and positions (GGA-PBE)
Peak positions follow from Bragg's law for the DFT cell and can differ from measured ones.

Most intense lines, 2θ from 10° to 90°, by angle:
2theta  I/Imax
13.31  23
13.46  19
21.17  100
23.08  66
23.34  33
32.87  45
33.06  45
35.89  48
39.43  43
43.11  18
47.72  15
53.15  22

a = 8.543 Å, b = 8.543 Å, c = 8.543 Å
α = 126.38°, β = 126.38°, γ = 79.26°
Element x y z (fractional)
Rb: 0.000 0.500 0.500
Rb: 0.205 0.205 0.000
Rb: 0.500 0.000 0.500
Rb: 0.795 0.795 0.000
Co: 0.500 0.500 0.000
S: 0.234 0.568 0.000
S: 0.432 0.432 0.666
S: 0.568 0.234 0.000
S: 0.766 0.766 0.334



# 2
Theoretical X-ray powder pattern
Compound: Rb2CoSnS4
Radiation: λ = 1.5418 Å (Cu Kα)
Structure: DFT lattice parameters and positions (GGA-PBE)
Peak positions follow from Bragg's law for the DFT cell and can differ from measured ones.

Most intense lines, 2θ from 10° to 90°, by angle:
2theta  I/Imax
14.77  52
15.05  64
24.39  39
25.55  36
26.06  100
26.67  49
30.77  74
32.10  57
37.40  61
45.36  47
45.85  38
49.35  43

a = 13.681 Å, b = 12.159 Å, c = 7.607 Å
α = 84.25°, β = 62.16°, γ = 33.59°
Element x y z (fractional)
Rb: 0.055 0.055 0.695
Rb: 0.305 0.305 0.945
Rb: 0.695 0.695 0.055
Rb: 0.945 0.945 0.305
Co: 0.375 0.375 0.375
Co: 0.625 0.625 0.625
Sn: 0.125 0.125 0.125
Sn: 0.875 0.875 0.875
S: 0.013 0.344 0.424
S: 0.282 0.576 0.656
S: 0.344 0.013 0.718
S: 0.424 0.718 0.013
S: 0.576 0.282 0.987
S: 0.656 0.987 0.282
S: 0.718 0.424 0.344
S: 0.987 0.656 0.576



# 3
Theoretical X-ray powder pattern
Compound: Rb2Co3Se4
Radiation: λ = 1.5418 Å (Cu Kα)
Structure: DFT lattice parameters and positions (GGA-PBE)
Peak positions follow from Bragg's law for the DFT cell and can differ from measured ones.

Most intense lines, 2θ from 10° to 90°, by angle:
2theta  I/Imax
11.96  100
19.34  26
22.80  30
29.91  82
30.52  42
35.11  46
36.71  68
40.69  47
43.01  26
51.12  45
53.10  26
61.80  29

a = 15.689 Å, b = 15.098 Å, c = 6.005 Å
α = 84.35°, β = 73.27°, γ = 22.39°
Element x y z (fractional)
Rb: 0.049 0.049 0.201
Rb: 0.201 0.201 0.049
Rb: 0.799 0.799 0.951
Rb: 0.951 0.951 0.799
Co: 0.125 0.125 0.625
Co: 0.375 0.375 0.375
Co: 0.375 0.375 0.875
Co: 0.625 0.625 0.125
Co: 0.625 0.625 0.625
Co: 0.875 0.875 0.375
Se: 0.158 0.485 0.259
Se: 0.259 0.598 0.158
Se: 0.402 0.741 0.515
Se: 0.485 0.158 0.598
Se: 0.515 0.842 0.402
Se: 0.598 0.259 0.485
Se: 0.741 0.402 0.842
Se: 0.842 0.515 0.741



# 4
Theoretical X-ray powder pattern
Compound: RbCoSe
Radiation: λ = 1.5418 Å (Cu Kα)
Structure: DFT lattice parameters and positions (GGA-PBE)
Peak positions follow from Bragg's law for the DFT cell and can differ from measured ones.

Most intense lines, 2θ from 10° to 90°, by angle:
2theta  I/Imax
27.40  100
31.51  27
32.89  76
35.50  62
45.16  47
45.68  13
45.94  17
52.26  51
53.64  30
56.99  31
65.78  15
88.72  22

a = 4.015 Å, b = 4.015 Å, c = 11.117 Å
α = 90.00°, β = 90.00°, γ = 90.00°
Element x y z (fractional)
Rb: 0.250 0.250 0.213
Rb: 0.750 0.750 0.787
Co: 0.250 0.750 0.500
Co: 0.750 0.250 0.500
Se: 0.250 0.250 0.617
Se: 0.750 0.750 0.383



# 5
Theoretical X-ray powder pattern
Compound: RbCoSn3
Radiation: λ = 1.5418 Å (Cu Kα)
Structure: DFT lattice parameters and positions (GGA-PBE)
Peak positions follow from Bragg's law for the DFT cell and can differ from measured ones.

Most intense lines, 2θ from 10° to 90°, by angle:
2theta  I/Imax
17.25  18
30.10  100
34.90  89
39.18  9
50.18  64
53.46  5
59.64  46
62.58  22
73.70  10
76.37  3
81.62  20
84.22  30

a = 5.142 Å, b = 5.142 Å, c = 5.142 Å
α = 90.00°, β = 90.00°, γ = 90.00°
Element x y z (fractional)
Rb: 0.000 0.000 0.000
Co: 0.500 0.500 0.500
Sn: 0.000 0.500 0.500
Sn: 0.500 0.000 0.500
Sn: 0.500 0.500 0.000



# 6
Theoretical X-ray powder pattern
Compound: RbCoTe
Radiation: λ = 1.5418 Å (Cu Kα)
Structure: DFT lattice parameters and positions (GGA-PBE)
Peak positions follow from Bragg's law for the DFT cell and can differ from measured ones.

Most intense lines, 2θ from 10° to 90°, by angle:
2theta  I/Imax
26.29  100
29.84  26
31.78  42
33.88  29
42.71  33
43.49  13
44.04  20
50.56  31
50.85  32
54.20  19
61.99  11
83.98  14

a = 4.234 Å, b = 4.234 Å, c = 11.313 Å
α = 90.00°, β = 90.00°, γ = 90.00°
Element x y z (fractional)
Rb: 0.250 0.250 0.202
Rb: 0.750 0.750 0.798
Co: 0.250 0.750 0.500
Co: 0.750 0.250 0.500
Te: 0.250 0.250 0.623
Te: 0.750 0.750 0.377